Entry 1:
For LiCu4Ni, a cell relaxed with PBE gives the simulated powder diffraction line list in this record (Cu Kα).

Structure:
Cell lengths 4.176, 8.098, 4.170 Å; angles 90.00, 90.00, 90.00 degrees
Space group Cmmm (No. 65)
Unique sites:
Li1 0.000 0.000 0.000 x2
Cu1 0.000 0.168 0.500 x4
Cu2 0.000 0.338 0.000 x4
Ni1 0.000 0.500 0.500 x2

Largest 12 diffraction maxima, by intensity, 2θ from 15° to 90°:
45.5 deg, rel. 1000, (1 3 1); 43.4 deg, rel. 583, (2 0 0); 81.1 deg, rel. 320, (3 3 1); 63.0 deg, rel. 176, (2 0 2); 85.7 deg, rel. 137, (2 6 0); 32.3 deg, rel. 112, (1 1 1); 24.0 deg, rel. 103, (1 1 0); 69.7 deg, rel. 62, (0 6 0); 21.3 deg, rel. 58, (0 0 1); 22.0 deg, rel. 57, (0 2 0); 30.8 deg, rel. 32, (0 2 1); 50.2 deg, rel. 26, (1 1 2)

---

Entry 2:
For AuO2F4, a cell relaxed with PBE gives the simulated powder diffraction line list in this record (Cu Kα).

Structure:
Cell lengths 4.000, 4.552, 6.496 Å; angles 73.78, 83.68, 87.39 degrees
Space group P-1 (No. 2)
Unique sites:
Au1 0.000 0.000 0.000 x1
O1 0.393 0.420 0.491 x2
F1 0.111 0.593 0.178 x2
F2 0.364 0.973 0.778 x2

Largest 12 diffraction maxima, by intensity, 2θ from 15° to 90°:
21.4 deg, rel. 1000, (0 1 1); 25.4 deg, rel. 698, (1 0 1); 20.3 deg, rel. 595, (0 1 0); 27.9 deg, rel. 502, (1 0 -1); 29.8 deg, rel. 494, (1 1 1); 22.4 deg, rel. 488, (1 0 0); 28.0 deg, rel. 408, (0 1 -1); 36.0 deg, rel. 374, (1 1 2); 40.0 deg, rel. 341, (-1 1 2); 44.9 deg, rel. 317, (1 -1 2); 28.8 deg, rel. 250, (0 0 2); 30.2 deg, rel. 249, (1 1 0)

---

Entry 3:
For Pm15Nd2Mg2, a cell relaxed with PBE gives the simulated powder diffraction line list in this record (Cu Kα).

Structure:
Cell lengths 11.3858, 11.3858, 17.5752 Å; angles 90.00, 90.00, 120.00 degrees
Space group R-3m (No. 166, hexagonal axes)
Unique sites:
Pm1 0.0000 0.2952 0.0000 x18
Pm2 0.0000 0.5000 0.5000 x9
Pm3 0.0123 0.5062 0.1416 x18
Nd1 0.0000 0.0000 0.3198 x6
Mg1 0.0000 0.0000 0.0931 x6

Largest 12 diffraction maxima, by intensity, 2θ from 15° to 90°:
31.2 deg, rel. 1000, (0 3 3); 35.0 deg, rel. 474, (2 2 3); 31.4 deg, rel. 302, (2 2 0); 30.5 deg, rel. 275, (0 0 6); 15.6 deg, rel. 256, (1 1 0); 27.2 deg, rel. 220, (0 2 4); 56.0 deg, rel. 151, (6 0 0); 50.6 deg, rel. 123, (3 3 3); 54.7 deg, rel. 122, (0 3 9); 26.0 deg, rel. 120, (1 2 2); 65.1 deg, rel. 103, (0 6 6); 60.9 deg, rel. 97, (2 0 11)

---

Entry 4:
For KBeGa2, a cell relaxed with PBE gives the simulated powder diffraction line list in this record (Cu Kα).

Structure:
Cell lengths 11.584, 3.985, 7.950 Å; angles 90.00, 107.94, 90.00 degrees
Space group C2/m (No. 12)
Unique sites:
K1 0.153 0.000 0.109 x4
Be1 0.194 0.500 0.477 x4
Ga1 0.018 0.500 0.701 x4
Ga2 0.124 0.000 0.583 x4

Largest 12 diffraction maxima, by intensity, 2θ from 15° to 90°:
31.8 deg, rel. 1000, (1 1 -2); 33.2 deg, rel. 793, (3 1 0); 32.6 deg, rel. 601, (2 0 2); 16.7 deg, rel. 268, (2 0 -1); 16.1 deg, rel. 266, (2 0 0); 45.5 deg, rel. 251, (0 2 0); 47.1 deg, rel. 219, (5 1 0); 57.1 deg, rel. 209, (2 2 2); 45.3 deg, rel. 176, (5 1 -1); 41.0 deg, rel. 175, (1 1 -3); 43.2 deg, rel. 160, (3 1 -3); 33.8 deg, rel. 157, (4 0 -2)

---

Entry 5:
For Pm3Y3Mg, a cell relaxed with PBE gives the simulated powder diffraction line list in this record (Cu Kα).

Structure:
Cell lengths 9.5243, 9.5243, 5.7268 Å; angles 90.00, 90.00, 120.00 degrees
Space group P6_3/m (No. 176)
Unique sites:
Pm1 0.0604 0.8155 0.2500 x6
Y1 0.1039 0.6244 0.7500 x6
Mg1 0.3333 0.6667 0.2500 x2

Largest 12 diffraction maxima, by intensity, 2θ from 15° to 90°:
32.7 deg, rel. 1000, (1 2 1); 31.2 deg, rel. 253, (0 0 2); 28.6 deg, rel. 235, (1 2 0); 60.8 deg, rel. 218, (4 1 2); 56.5 deg, rel. 206, (1 2 3); 50.7 deg, rel. 197, (4 1 0); 42.9 deg, rel. 155, (1 2 2); 61.7 deg, rel. 149, (2 4 1); 83.8 deg, rel. 118, (7 0 1); 26.6 deg, rel. 102, (2 0 1); 86.9 deg, rel. 81, (4 1 4); 79.4 deg, rel. 71, (2 4 3)

---

Entry 6:
For SrSi3Rh3, a cell relaxed with PBE gives the simulated powder diffraction line list in this record (Cu Kα).

Structure:
Cell lengths 6.569, 6.569, 6.569 Å; angles 90.00, 90.00, 90.00 degrees
Space group Pm-3n (No. 223)
Unique sites:
Sr1 0.000 0.000 0.000 x2
Si1 0.000 0.250 0.500 x6
Rh1 0.000 0.500 0.250 x6

Largest 12 diffraction maxima, by intensity, 2θ from 15° to 90°:
33.4 deg, rel. 1000, (2 1 1); 30.4 deg, rel. 610, (2 1 0); 52.1 deg, rel. 551, (3 2 1); 27.2 deg, rel. 435, (2 0 0); 56.0 deg, rel. 268, (4 0 0); 48.0 deg, rel. 234, (2 2 2); 83.2 deg, rel. 171, (4 4 0); 80.0 deg, rel. 156, (5 2 1); 50.1 deg, rel. 152, (3 2 0); 63.3 deg, rel. 152, (4 2 0); 65.1 deg, rel. 135, (4 2 1); 66.8 deg, rel. 129, (3 3 2)

---

Entry 7:
For PmCd6Pd6, a cell relaxed with PBE gives the simulated powder diffraction line list in this record (Cu Kα).

Structure:
Cell lengths 5.6664, 5.6664, 9.1038 Å; angles 90.00, 90.00, 120.00 degrees
Space group P6/mmm (No. 191)
Unique sites:
Pm1 0.0000 0.0000 0.0000 x1
Cd1 0.0000 0.5000 0.2523 x6
Pd1 0.0000 0.0000 0.3461 x2
Pd2 0.3333 0.6667 0.0000 x2
Pd3 0.3333 0.6667 0.5000 x2

Largest 12 diffraction maxima, by intensity, 2θ from 15° to 90°:
37.4 deg, rel. 1000, (1 1 2); 41.8 deg, rel. 940, (2 0 2); 36.6 deg, rel. 690, (2 0 0); 31.6 deg, rel. 475, (1 1 0); 65.9 deg, rel. 371, (2 2 0); 39.6 deg, rel. 323, (0 0 4); 70.4 deg, rel. 280, (1 1 6); 34.8 deg, rel. 275, (1 0 3); 43.8 deg, rel. 249, (1 0 4); 60.1 deg, rel. 243, (3 0 2); 79.7 deg, rel. 238, (2 2 4); 87.7 deg, rel. 159, (3 0 6)

---

Entry 8:
For Cs2TlGeI5, a cell relaxed with PBE gives the simulated powder diffraction line list in this record (Cu Kα).

Structure:
Cell lengths 4.773, 21.427, 17.674 Å; angles 90.00, 90.00, 90.00 degrees
Space group Cmc2_1 (No. 36)
Unique sites:
Cs1 0.000 0.084 0.000 x4
Cs2 0.000 0.144 0.649 x4
Tl1 0.000 0.461 0.806 x4
Ge1 0.000 0.224 0.381 x4
I1 0.000 0.089 0.428 x4
I2 0.000 0.260 0.997 x4
I3 0.000 0.301 0.772 x4
I4 0.000 0.362 0.337 x4
I5 0.000 0.496 0.124 x4

Largest 12 diffraction maxima, by intensity, 2θ from 15° to 90°:
21.6 deg, rel. 1000, (1 1 2); 24.4 deg, rel. 839, (1 1 3); 27.8 deg, rel. 761, (1 1 4); 25.4 deg, rel. 658, (0 6 1); 37.7 deg, rel. 575, (2 0 0); 26.9 deg, rel. 544, (0 6 2); 30.3 deg, rel. 543, (0 0 6); 28.0 deg, rel. 500, (1 5 0); 38.0 deg, rel. 460, (1 5 5); 31.8 deg, rel. 407, (1 1 5); 28.4 deg, rel. 407, (1 5 1); 41.7 deg, rel. 330, (1 5 6)